(1)
Calculated XRD peak list of SmIBr2 for Cu Kα, 1.54184 Å, from the PBE geometry in Alexandria.
Intensities are scaled so that the largest is 100.

Peak list (10 most intense, 2θ from 5° to 70°, by angle)
Position (°2θ)	d [Å]	I_rel
13.91	6.366	90
19.38	4.581	57
25.92	3.438	55
30.60	2.922	100
34.00	2.637	32
38.44	2.342	24
38.86	2.318	41
42.12	2.145	27
43.30	2.090	17
44.33	2.043	18

Structural model:
Lattice parameters (Å, degrees): 8.424 12.538 7.651 90.00 118.70 90.00
Atoms (fractional coordinates):
Sm (0.000, 0.090, 0.000)
Sm (0.000, 0.910, 0.500)
Sm (0.500, 0.410, 0.500)
Sm (0.500, 0.590, 0.000)
I (0.268, 0.410, 0.714)
I (0.268, 0.590, 0.214)
I (0.768, 0.090, 0.214)
I (0.768, 0.910, 0.714)
Br (0.210, 0.065, 0.796)
Br (0.210, 0.935, 0.296)
Br (0.255, 0.253, 0.233)
Br (0.255, 0.747, 0.733)
Br (0.710, 0.435, 0.296)
Br (0.710, 0.565, 0.796)
Br (0.755, 0.247, 0.733)
Br (0.755, 0.753, 0.233)


(2)
Calculated XRD peak list of SnIBr for Cu Kα, 1.54184 Å, from the PBE geometry in Alexandria.
Intensities are scaled so that the largest is 100.

Peak list (10 most intense, 2θ from 5° to 70°, by angle)
Position (°2θ)	d [Å]	I_rel
12.30	7.194	34
26.11	3.413	100
34.00	2.637	55
40.29	2.238	36
44.42	2.039	24
48.65	1.872	18
53.72	1.706	15
64.95	1.436	15
66.72	1.402	15
69.23	1.357	14

Structural model:
Lattice parameters (Å, degrees): 4.477 4.477 7.194 90.00 90.00 120.00
Atoms (fractional coordinates):
Sn (0.000, 0.000, 0.000)
I (0.333, 0.667, 0.735)
Br (0.667, 0.333, 0.223)


(3)
Calculated XRD peak list of Tl2SnI4Br2 for Cu Kα, 1.54184 Å, from the PBE geometry in Alexandria.
Intensities are scaled so that the largest is 100.

Peak list (10 most intense, 2θ from 5° to 70°, by angle)
Position (°2θ)	d [Å]	I_rel
22.44	3.962	19
22.58	3.939	21
27.17	3.282	31
27.45	3.249	100
31.07	2.879	84
32.99	2.715	24
38.73	2.325	15
44.74	2.025	17
45.80	1.981	17
46.09	1.969	16

Structural model:
Lattice parameters (Å, degrees): 7.891 7.891 8.184 120.84 120.84 61.78
Atoms (fractional coordinates):
Tl (0.249, 0.249, 0.252)
Tl (0.751, 0.751, 0.748)
Sn (0.500, 0.500, 0.000)
I (0.206, 0.709, 0.203)
I (0.291, 0.794, 0.797)
I (0.709, 0.206, 0.203)
I (0.794, 0.291, 0.797)
Br (0.261, 0.261, 0.687)
Br (0.739, 0.739, 0.313)


(4)
Calculated XRD peak list of Sr3I5Br for Cu Kα, 1.54184 Å, from the PBE geometry in Alexandria.
Intensities are scaled so that the largest is 100.

Peak list (10 most intense, 2θ from 5° to 70°, by angle)
Position (°2θ)	d [Å]	I_rel
16.12	5.499	28
16.66	5.320	40
24.25	3.670	100
24.63	3.615	92
25.70	3.466	37
31.56	2.835	55
32.14	2.785	44
32.57	2.749	26
36.47	2.464	41
39.81	2.264	86

Structural model:
Lattice parameters (Å, degrees): 7.641 4.928 22.982 90.00 91.89 90.00
Atoms (fractional coordinates):
Sr (0.000, 0.000, 0.000)
Sr (0.017, 0.000, 0.672)
Sr (0.482, 0.500, 0.827)
Sr (0.500, 0.500, 0.500)
Sr (0.518, 0.500, 0.173)
Sr (0.983, 0.000, 0.328)
I (0.175, 0.500, 0.927)
I (0.189, 0.500, 0.264)
I (0.233, 0.500, 0.611)
I (0.273, 0.000, 0.439)
I (0.328, 0.000, 0.098)
I (0.672, 0.000, 0.902)
I (0.727, 0.000, 0.561)
I (0.767, 0.500, 0.389)
I (0.811, 0.500, 0.736)
I (0.825, 0.500, 0.073)
Br (0.307, 0.000, 0.769)
Br (0.693, 0.000, 0.231)